Diffraction record for Ba2TiFeO6. The powder X-ray diffraction pattern is theoretical, not measured: it uses the GGA+U geometry in Alexandria and Cu Kα (λ = 1.5418 Å).

Cell and atoms:
```
data_Ba2TiFeO6
_space_group_name_H-M_alt 'P 3 m 1'
_space_group_IT_number 156
_cell_length_a 5.7590
_cell_length_b 5.7590
_cell_length_c 14.1400
_cell_angle_alpha 90.00
_cell_angle_beta 90.00
_cell_angle_gamma 120.00
loop_
_space_group_symop_operation_xyz
'x,y,z'
'-y,x-y,z'
'-x+y,-x,z'
'-y,-x,z'
'-x+y,y,z'
'x,x-y,z'
loop_
_atom_site_label
_atom_site_type_symbol
_atom_site_fract_x
_atom_site_fract_y
_atom_site_fract_z
Ba1 Ba 0.0000 0.0000 0.0000
Ba2 Ba 0.0000 0.0000 0.3159
Ba3 Ba 0.3333 0.6667 0.1623
Ba4 Ba 0.3333 0.6667 0.6649
Ba5 Ba 0.6667 0.3333 0.4981
Ba6 Ba 0.6667 0.3333 0.8200
Ti1 Ti 0.0000 0.0000 0.5610
Ti2 Ti 0.3333 0.6667 0.4044
Ti3 Ti 0.3333 0.6667 0.9168
Fe1 Fe 0.0000 0.0000 0.7560
Fe2 Fe 0.6667 0.3333 0.0667
Fe3 Fe 0.6667 0.3333 0.2536
O1 O 0.0039 0.5019 0.3354
O2 O 0.0100 0.5050 0.9921
O3 O 0.1636 0.3273 0.8313
O4 O 0.1665 0.3329 0.4974
O5 O 0.2943 0.1472 0.6682
O6 O 0.3699 0.1850 0.1701
```

Peak list (8 most intense, 2θ from 15° to 90°, by angle)
- (0 1 3), 26.01 deg, I 25
- (1 1 0), 31.04 deg, I 100
- (0 0 6), 38.24 deg, I 17
- (2 0 3), 40.94 deg, I 18
- (0 2 4), 44.46 deg, I 24
- (2 1 4), 55.21 deg, I 17
- (3 0 0), 55.25 deg, I 12
- (2 2 0), 64.75 deg, I 12